Starting from DFT lattice parameters and positions (GGA-PBE), the powder X-ray diffraction pattern of Ba2Cd3Pd5 was simulated for CuKα.

Crystal structure
```
data_Ba2Cd3Pd5
_symmetry_space_group_name_H-M 'I b a m'
_symmetry_Int_Tables_number 72
_symmetry_space_group_name_Hall '-I 2 2c'
_cell_length_a 11.0467
_cell_length_b 13.9957
_cell_length_c 6.1566
_cell_angle_alpha 90.00
_cell_angle_beta 90.00
_cell_angle_gamma 90.00
loop_
_atom_site_label
_atom_site_type_symbol
_atom_site_fract_x
_atom_site_fract_y
_atom_site_fract_z
_atom_site_occupancy
Ba1 Ba 0.2403 0.1278 0.0000 1
Cd1 Cd 0.0000 0.5000 0.2500 1
Cd2 Cd 0.0841 0.1484 0.5000 1
Pd1 Pd 0.0000 0.0000 0.2500 1
Pd2 Pd 0.0000 0.2987 0.2500 1
Pd3 Pd 0.1700 0.3910 0.0000 1
```

Peak list (10 most intense, 10° ≤ 2θ ≤ 90°, low angle first)
two_theta  I_rel  h k l
25.5  211  0 4 0
30.2  698  2 4 0
31.1  865  3 2 1
32.4  209  4 0 0
33.3  821  2 0 2
35.9  269  1 3 2
36.2  282  4 1 1
39.0  1000  0 4 2
45.5  225  5 3 0
60.1  216  0 0 4